YHoZr2As2: calculated powder XRD pattern (CuKα), based on a structure optimized by DFT (PBE).
Kinematic intensities with the Lorentz-polarization factor, no thermal factor.

Cell and atoms:
```
data_YHoZr2As2
_chemical_formula_sum 'Y2 Ho2 Zr4 As4'
_symmetry_space_group_name_H-M 'I 4 m m'
_symmetry_Int_Tables_number 107
_symmetry_space_group_name_Hall 'I 4 -2'
_cell_length_a 4.084
_cell_length_b 4.084
_cell_length_c 15.891
_cell_angle_alpha 90.00
_cell_angle_beta 90.00
_cell_angle_gamma 90.00
loop_
_atom_site_label
_atom_site_type_symbol
_atom_site_fract_x
_atom_site_fract_y
_atom_site_fract_z
_atom_site_occupancy
Y1 Y 0.000 0.000 0.000 1
Ho1 Ho 0.000 0.000 0.356 1
Zr1 Zr 0.000 0.500 0.178 1
As1 As 0.000 0.000 0.545 1
As2 As 0.000 0.000 0.811 1
```

Top 8 peaks for 2θ = 10–80°, low angle first:
(hkl), 2θ/deg, intensity
1 1 0, 30.97, 22.1
1 1 2, 33.00, 100.0
0 0 6, 33.85, 38.3
1 0 5, 35.80, 46.9
1 1 4, 38.54, 81.4
2 0 0, 44.36, 58.5
2 0 6, 56.94, 33.6
2 1 5, 58.26, 22.7